1.
Diffraction record for NaSrPb3. The PXRD pattern is simulated, not measured: it uses a structure optimized by DFT (GGA-PBE) and copper Kα.

Largest 8 diffraction maxima, low angle first, 2θ = 5–70°:
2θ (°)	d_spacing	Rel. int.
7.3	12.155	48.2
14.6	6.078	66.5
24.3	3.667	39.2
29.4	3.040	69.8
30.8	2.906	28.1
34.2	2.623	100.0
40.3	2.238	40.2
42.0	2.150	31.2

Atomic structure:
Cell: 12.598 12.598 4.598 Å, 90.00 90.00 149.54°
Positions (direct):
1 Na 0.249 0.249 0.000
2 Na 0.751 0.751 0.500
3 Sr 0.283 0.717 0.250
4 Sr 0.717 0.283 0.750
5 Pb 0.135 0.370 0.732
6 Pb 0.179 0.821 0.750
7 Pb 0.370 0.135 0.268
8 Pb 0.630 0.865 0.768
9 Pb 0.821 0.179 0.250
10 Pb 0.865 0.630 0.232

***

2.
Diffraction record for Na2SrPb9. The PXRD pattern is simulated, not measured: it uses a structure optimized by DFT (GGA-PBE) and copper Kα.

Largest 8 diffraction maxima, low angle first, 2θ = 5–70°:
2θ (°)	d_spacing	Rel. int.
25.3	3.514	14.4
31.2	2.870	100.0
36.1	2.490	34.4
36.3	2.476	16.4
52.1	1.756	23.8
61.8	1.501	29.4
62.1	1.494	13.6
65.0	1.435	12.4

Atomic structure:
Cell: 4.980 4.980 14.855 Å, 90.00 90.00 90.00°
Positions (direct):
1 Na 0.000 0.000 0.165
2 Na 0.000 0.000 0.835
3 Sr 0.000 0.000 0.500
4 Pb 0.000 0.500 0.000
5 Pb 0.000 0.500 0.327
6 Pb 0.000 0.500 0.673
7 Pb 0.500 0.000 0.000
8 Pb 0.500 0.000 0.327
9 Pb 0.500 0.000 0.673
10 Pb 0.500 0.500 0.163
11 Pb 0.500 0.500 0.500
12 Pb 0.500 0.500 0.837

***

3.
Diffraction record for Na3Sr2Tl4Pb2. The PXRD pattern is simulated, not measured: it uses a structure optimized by DFT (GGA-PBE) and copper Kα.

Largest 8 diffraction maxima, low angle first, 2θ = 5–70°:
2θ (°)	d_spacing	Rel. int.
5.9	14.885	53.7
11.9	7.443	64.6
17.4	5.096	45.7
27.2	3.283	100.0
34.4	2.608	83.5
34.7	2.586	56.8
39.0	2.308	31.8
62.0	1.497	31.1

Atomic structure:
Cell: 15.328 15.328 15.328 Å, 160.57 160.57 27.61°
Positions (direct):
1 Na 0.000 0.000 0.000
2 Na 0.180 0.180 0.000
3 Na 0.820 0.820 0.000
4 Sr 0.306 0.306 0.000
5 Sr 0.694 0.694 0.000
6 Tl 0.114 0.614 0.500
7 Tl 0.386 0.886 0.500
8 Tl 0.614 0.114 0.500
9 Tl 0.886 0.386 0.500
10 Pb 0.447 0.447 0.000
11 Pb 0.553 0.553 0.000

***

4.
Diffraction record for NaTb2Te6Pb3. The PXRD pattern is simulated, not measured: it uses a structure optimized by DFT (GGA-PBE) and copper Kα.

Largest 8 diffraction maxima, low angle first, 2θ = 5–70°:
2θ (°)	d_spacing	Rel. int.
27.7	3.221	100.0
38.8	2.320	13.3
39.3	2.291	24.5
39.8	2.265	25.1
40.3	2.235	12.8
49.6	1.837	13.3
57.2	1.610	11.6
64.4	1.447	11.3

Atomic structure:
Cell: 10.229 10.229 9.282 Å, 104.04 104.04 25.25°
Positions (direct):
1 Na 0.000 0.000 0.000
2 Tb 0.332 0.332 0.654
3 Tb 0.668 0.668 0.346
4 Te 0.171 0.171 0.584
5 Te 0.174 0.174 0.111
6 Te 0.491 0.491 0.748
7 Te 0.509 0.509 0.252
8 Te 0.826 0.826 0.889
9 Te 0.829 0.829 0.416
10 Pb 0.000 0.000 0.500
11 Pb 0.343 0.343 0.151
12 Pb 0.657 0.657 0.849